Diffraction record for ZnSbAu2O6. The powder diffraction line list is theoretical, not measured: it uses a structure optimized by DFT (GGA-PBE) and copper Kα.
Lines closer than 0.1° are merged.

Main lines, sorted by position (10° ≤ 2θ ≤ 80°):
- 15.95°, d 5.557, I = 20
- 18.65°, d 4.758, I = 12
- 27.09°, d 3.292, I = 30
- 29.13°, d 3.066, I = 64
- 29.74°, d 3.004, I = 100
- 32.22°, d 2.779, I = 38
- 33.35°, d 2.686, I = 46
- 38.22°, d 2.355, I = 24
- 49.55°, d 1.839, I = 35
- 53.60°, d 1.710, I = 23
- 60.38°, d 1.533, I = 14
- 61.78°, d 1.502, I = 13

Crystal structure
a = 11.440 Å, b = 7.803 Å, c = 6.311 Å
α = 90.00°, β = 103.70°, γ = 90.00°
Space group C2/c (No. 15)
Inequivalent atoms, fractional coordinates:
Zn (0.000, 0.124, 0.250) (multiplicity 4)
Sb (0.000, 0.285, 0.750) (multiplicity 4)
Au (0.233, 0.365, 0.222) (multiplicity 8)
O (0.057, 0.307, 0.079) (multiplicity 8)
O (0.091, 0.076, 0.664) (multiplicity 8)
O (0.172, 0.380, 0.740) (multiplicity 8)